# 1
Diffraction record for HoNiO3. The powder XRD pattern is calculated, not measured: it uses the PBE+U geometry in Alexandria and Cu Kα.
Lines closer than 0.1° are merged.

Principal peaks in the range 2θ = 15–90°, in order of rising 2θ:
26.25 deg, d 3.395, rel. 33, (1 1 1)
31.64 deg, d 2.828, rel. 16, (2 0 0)
33.70 deg, d 2.659, rel. 100, (1 2 1)
33.94 deg, d 2.642, rel. 21, (2 1 0)
34.62 deg, d 2.591, rel. 26, (0 0 2)
49.23 deg, d 1.851, rel. 33, (0 4 0)
53.16 deg, d 1.723, rel. 22, (3 1 1)
61.49 deg, d 1.508, rel. 32, (0 4 2)

Structure:
a = 5.655 Å, b = 7.408 Å, c = 5.182 Å
α = 90.00°, β = 90.00°, γ = 90.00°
Positions (direct):
Ho1 0.082 0.250 0.023
Ho2 0.418 0.750 0.523
Ho3 0.582 0.250 0.477
Ho4 0.918 0.750 0.977
Ni1 0.000 0.000 0.500
Ni2 0.000 0.500 0.500
Ni3 0.500 0.000 0.000
Ni4 0.500 0.500 0.000
O1 0.033 0.750 0.391
O2 0.188 0.553 0.804
O3 0.188 0.947 0.804
O4 0.312 0.053 0.304
O5 0.312 0.447 0.304
O6 0.467 0.250 0.891
O7 0.533 0.750 0.109
O8 0.688 0.553 0.696
O9 0.688 0.947 0.696
O10 0.812 0.053 0.196
O11 0.812 0.447 0.196
O12 0.967 0.250 0.609

---

# 2
Diffraction record for HoNi2SnO6. The powder XRD pattern is calculated, not measured: it uses the PBE+U geometry in Alexandria and Cu Kα.
Lines closer than 0.1° are merged.

Principal peaks in the range 2θ = 15–90°, in order of rising 2θ:
23.02 deg, d 3.863, rel. 59, (1 1 1)
31.83 deg, d 2.811, rel. 100, (1 0 1)
33.71 deg, d 2.659, rel. 94, (2 1 0)
47.08 deg, d 1.930, rel. 27, (2 0 -2)
51.68 deg, d 1.769, rel. 23, (1 -1 1)
51.76 deg, d 1.766, rel. 24, (1 2 3)
59.16 deg, d 1.562, rel. 19, (3 2 -1)
60.25 deg, d 1.536, rel. 19, (0 3 2)

Structure:
a = 5.313 Å, b = 5.317 Å, c = 5.638 Å
α = 61.87°, β = 89.98°, γ = 60.11°
Positions (direct):
Ho1 0.000 0.000 0.000
Ni1 0.284 0.433 0.851
Ni2 0.788 0.423 0.366
Sn1 0.489 0.022 0.466
O1 0.074 0.496 0.155
O2 0.180 0.925 0.642
O3 0.430 0.920 0.154
O4 0.568 0.254 0.641
O5 0.651 0.277 0.155
O6 0.894 0.538 0.641

---

Q: Which formula does entry 2 have?
A: HoNi2SnO6